[1]
Simulated X-ray diffraction stick pattern of SrFeOs for Cu Kα (λ = 1.5418 Å), from a crystal structure in Alexandria, relaxed with PBE.
Intensities are scaled so that the largest is 100.

Crystal structure
```
data_SrFeOs
_chemical_formula_sum 'Sr2 Fe2 Os2'
_space_group_name_H-M_alt 'P 1 21/m 1'
_space_group_IT_number 11
_space_group_name_Hall '-P 2yb'
_cell_length_a 4.9901
_cell_length_b 4.2775
_cell_length_c 6.0936
_cell_angle_alpha 90.00
_cell_angle_beta 95.19
_cell_angle_gamma 90.00
loop_
_atom_site_label
_atom_site_type_symbol
_atom_site_fract_x
_atom_site_fract_y
_atom_site_fract_z
Sr1 Sr 0.2414 0.2500 0.4001
Fe1 Fe 0.3742 0.7500 0.9953
Os1 Os 0.1180 0.2500 0.9261
```

Principal peaks in the range 2θ from 10° to 80°, in order of rising 2θ:
two_theta, I_rel, hkl
14.6, 100, 0 0 1
17.8, 26, 1 0 0
27.5, 55, 1 1 0
29.4, 31, 0 0 2
36.1, 27, 1 0 2
36.3, 48, 0 1 2
39.5, 23, 1 1 -2
42.0, 41, 2 1 0
42.3, 33, 0 2 0
43.6, 42, 2 1 -1

***

[2]
Simulated X-ray diffraction stick pattern of Sr3Cu2Rh7 for Cu Kα (λ = 1.5418 Å), from a crystal structure in Alexandria, relaxed with PBE.
Intensities are scaled so that the largest is 100.

Crystal structure
```
data_Sr3Cu2Rh7
_chemical_formula_sum 'Sr9 Cu6 Rh21'
_space_group_name_H-M_alt 'R -3 m'
_space_group_IT_number 166
_space_group_name_Hall '-R 3 2"'
_cell_length_a 5.4259
_cell_length_b 5.4259
_cell_length_c 25.9398
_cell_angle_alpha 90.00
_cell_angle_beta 90.00
_cell_angle_gamma 120.00
loop_
_atom_site_label
_atom_site_type_symbol
_atom_site_fract_x
_atom_site_fract_y
_atom_site_fract_z
Sr1 Sr 0.0000 0.0000 0.0000
Sr2 Sr 0.0000 0.0000 0.1404
Cu1 Cu 0.0000 0.0000 0.3335
Rh1 Rh 0.0000 0.0000 0.5000
Rh2 Rh 0.0011 0.5005 0.9198
```

Principal peaks in the range 2θ from 10° to 80°, in order of rising 2θ:
two_theta, I_rel, hkl
19.2, 20, 1 0 1
33.6, 28, 0 1 8
38.5, 44, 0 2 1
39.0, 23, 2 0 2
39.2, 100, 1 1 6
41.8, 26, 0 0 12
42.2, 42, 2 0 5
45.7, 20, 0 2 7
63.1, 24, 3 0 6
69.3, 29, 2 2 0